(1)
Starting from DFT lattice parameters and positions (GGA-PBE), the powder diffractogram of SmEr3In3 was calculated for a wavelength of 1.5418 Å.
Peak positions follow from Bragg's law for the DFT cell and can differ from measured ones.

Peak list (6 most intense, 5 to 70 degrees two-theta, in order of rising 2θ)
two_theta, I (rel.), (hkl)
29.2, 238, 1 2 0
34.1, 1000, 1 2 1
34.8, 234, 0 0 2
51.8, 141, 4 1 0
62.0, 176, 1 2 3
64.0, 148, 4 1 2

Cell and atoms:
Cell: 9.3385 9.3385 5.1506 Å, 90.00 90.00 120.00°
Space group P6_3/m (No. 176)
Unique sites:
Sm: 0.3333 0.6667 0.2500
Er: 0.0017 0.7705 0.2500
In: 0.0705 0.6181 0.7500

---

(2)
Starting from DFT lattice parameters and positions (GGA-PBE), the powder diffractogram of CaAg2TeO4 was calculated for a wavelength of 1.5418 Å.
Peak positions follow from Bragg's law for the DFT cell and can differ from measured ones.

Peak list (6 most intense, 5 to 70 degrees two-theta, in order of rising 2θ)
two_theta, I (rel.), (hkl)
31.1, 1000, 2 2 0
31.8, 946, 2 2 -2
33.9, 675, 0 4 0
34.2, 688, 0 0 2
41.0, 430, 4 0 -2
49.0, 431, 0 4 2

Cell and atoms:
Cell: 8.8007 10.5644 6.7438 Å, 90.00 128.97 90.00°
Space group C2/c (No. 15)
Unique sites:
Ca: 0.2500 0.2500 0.0000
Ag: 0.0000 0.0000 0.0000
Ag: 0.2500 0.2500 0.5000
Te: 0.0000 0.5000 0.0000
O: 0.0255 0.2964 0.5396
O: 0.2205 0.4814 0.9340

---

(3)
Starting from DFT lattice parameters and positions (GGA-PBE), the powder diffractogram of Dy3TlIr was calculated for a wavelength of 1.5418 Å.
Peak positions follow from Bragg's law for the DFT cell and can differ from measured ones.

Peak list (6 most intense, 5 to 70 degrees two-theta, in order of rising 2θ)
two_theta, I (rel.), (hkl)
29.8, 736, 2 0 -3
30.4, 649, 1 1 2
31.9, 798, 4 0 0
32.3, 1000, 0 2 0
40.0, 541, 2 0 -4
46.0, 584, 4 2 0

Cell and atoms:
Cell: 12.2353 5.5454 9.0297 Å, 90.00 113.38 90.00°
Space group C2/m (No. 12)
Unique sites:
Dy: 0.1053 0.0000 0.2189
Dy: 0.1152 0.5000 0.9001
Dy: 0.1618 0.0000 0.6555
Tl: 0.1149 0.5000 0.4584
Ir: 0.1387 0.0000 0.9380

---

(4)
Starting from DFT lattice parameters and positions (GGA-PBE), the powder diffractogram of BaPaF6 was calculated for a wavelength of 1.5418 Å.
Peak positions follow from Bragg's law for the DFT cell and can differ from measured ones.

Peak list (6 most intense, 5 to 70 degrees two-theta, in order of rising 2θ)
two_theta, I (rel.), (hkl)
20.6, 1000, 1 1 -1
25.0, 301, 2 0 0
25.9, 443, 1 1 1
38.3, 261, 3 1 -1
40.1, 301, 0 2 2
41.9, 309, 2 2 -2

Cell and atoms:
Cell: 7.5075 7.0546 6.1668 Å, 90.00 108.73 90.00°
Space group C2/m (No. 12)
Unique sites:
Ba: 0.0000 0.0000 0.0000
Pa: 0.0000 0.5000 0.5000
F: 0.0938 0.2976 0.7912
F: 0.2009 0.0000 0.4645

---

(5)
Starting from DFT lattice parameters and positions (GGA-PBE), the powder diffractogram of TbNd4DyHo2 was calculated for a wavelength of 1.5418 Å.
Peak positions follow from Bragg's law for the DFT cell and can differ from measured ones.

Peak list (6 most intense, 5 to 70 degrees two-theta, in order of rising 2θ)
two_theta, I (rel.), (hkl)
30.3, 1000, 1 1 2
34.9, 173, 0 2 0
35.1, 170, 2 0 0
35.6, 164, 0 0 4
59.8, 146, 1 3 2
60.0, 145, 3 1 2

Cell and atoms:
Cell: 5.1171 5.1416 10.0932 Å, 90.00 90.00 90.00°
Space group Pmmm (No. 47)
Unique sites:
Tb: 0.0000 0.0000 0.0000
Nd: 0.0000 0.5000 0.2502
Nd: 0.5000 0.0000 0.2505
Dy: 0.5000 0.5000 0.5000
Ho: 0.0000 0.0000 0.5000
Ho: 0.5000 0.5000 0.0000

---

(6)
Starting from DFT lattice parameters and positions (GGA-PBE), the powder diffractogram of Th6Bi5Te was calculated for a wavelength of 1.5418 Å.
Peak positions follow from Bragg's law for the DFT cell and can differ from measured ones.

Peak list (6 most intense, 5 to 70 degrees two-theta, in order of rising 2θ)
two_theta, I (rel.), (hkl)
23.8, 9, 1 3 -1
27.6, 1000, 2 0 -2
39.4, 783, 1 3 -3
48.7, 284, 0 0 4
56.9, 134, 4 0 -4
64.4, 368, 3 3 -5

Cell and atoms:
Cell: 7.9215 13.7355 7.9245 Å, 90.00 109.44 90.00°
Space group C2/m (No. 12)
Unique sites:
Th: 0.2361 0.0000 0.2504
Th: 0.2396 0.1611 0.7404
Bi: 0.0000 0.1743 0.0000
Bi: 0.0000 0.3360 0.5000
Bi: 0.0000 0.5000 0.0000
Te: 0.0000 0.0000 0.5000